# PmBe2Pt10
Simulated XRD peak list, a wavelength of 1.5418 Å. Input: a cell relaxed with GGA-PBE.

Largest 10 diffraction maxima, low angle first, 2θ = 5–70°:
| Position (°2θ) | d (Å) | Rel. int. | h k l |
| --- | --- | --- | --- |
| 14.16 | 6.254 | 26 | 0 2 0 |
| 31.93 | 2.803 | 36 | 0 4 2 |
| 34.25 | 2.618 | 42 | 2 0 0 |
| 34.77 | 2.580 | 49 | 1 3 3 |
| 39.96 | 2.256 | 39 | 2 2 2 |
| 40.24 | 2.241 | 61 | 1 1 5 |
| 40.58 | 2.223 | 100 | 0 4 4 |
| 44.95 | 2.017 | 36 | 2 0 4 |
| 45.17 | 2.007 | 48 | 2 4 0 |
| 45.38 | 1.999 | 30 | 1 3 5 |

Cell and atoms:
```
data_PmBe2Pt10
_cell_length_a 5.2359
_cell_length_b 12.5084
_cell_length_c 12.6496
_cell_angle_alpha 90.00
_cell_angle_beta 90.00
_cell_angle_gamma 90.00
_space_group_name_H-M_alt 'F m m m'
_space_group_IT_number 69
_space_group_name_Hall '-F 2 2'
loop_
_atom_site_label
_atom_site_type_symbol
_atom_site_fract_x
_atom_site_fract_y
_atom_site_fract_z
_atom_site_occupancy
Pm1 Pm 0.0000 0.0000 0.0000 1
Be1 Be 0.2500 0.0000 0.2500 1
Pt1 Pt 0.0000 0.1048 0.3809 1
Pt2 Pt 0.0000 0.1600 0.1769 1
Pt3 Pt 0.2500 0.2500 0.0000 1
```